Bi2Ir7: simulated PXRD pattern (Cu Kα), based on a cell relaxed with GGA-PBE.
Peak positions follow from Bragg's law for the DFT cell and can differ from measured ones.

Main lines, in order of rising 2θ (10° ≤ 2θ ≤ 80°):
- (1 0 4), 37.44°, rel. 39.5
- (1 0 5), 38.41°, rel. 100.0
- (0 0 14), 39.35°, rel. 18.6
- (1 0 6), 39.57°, rel. 15.9
- (0 0 15), 42.29°, rel. 20.1
- (0 1 9), 44.04°, rel. 32.7
- (0 1 10), 45.82°, rel. 56.4
- (1 1 0), 64.08°, rel. 34.7
- (1 1 14), 77.83°, rel. 15.8
- (1 1 15), 79.79°, rel. 19.8

Atomic structure:
abc: 2.907 2.907 32.059
angles: 90.00 90.00 120.00
Sites, in units of the cell vectors:
1 Bi 0.333 0.667 0.222
2 Bi 0.667 0.333 0.778
3 Ir 0.000 0.000 0.298
4 Ir 0.000 0.000 0.500
5 Ir 0.000 0.000 0.702
6 Ir 0.333 0.667 0.432
7 Ir 0.333 0.667 0.635
8 Ir 0.667 0.333 0.365
9 Ir 0.667 0.333 0.568